(1)
Diffraction record for MnPbS2. The X-ray powder pattern is calculated, not measured: it uses a structure optimized by DFT (PBE) and Cu Kα, 1.54184 Å.
Kinematic intensities with the Lorentz-polarization factor, no thermal factor.

Crystal structure
Unit cell a=7.405 b=7.303 c=7.561 alpha=90.00 beta=95.84 gamma=90.00
Space group P2_1/c (No. 14)
Unique sites:
Mn: 0.095 0.177 0.397
Pb: 0.362 0.578 0.241
S: 0.073 0.655 0.841
S: 0.402 0.242 0.982

Top 10 peaks for 2θ = 5–70°, by angle:
| (hkl) | two_theta | d/Å | I_rel |
| --- | --- | --- | --- |
| 1 0 0 | 12.01 | 7.367 | 48 |
| 1 1 -1 | 20.09 | 4.420 | 100 |
| 1 1 1 | 21.50 | 4.134 | 41 |
| 0 0 2 | 23.66 | 3.761 | 47 |
| 0 2 1 | 27.14 | 3.286 | 87 |
| 2 1 -1 | 28.62 | 3.119 | 79 |
| 1 2 1 | 30.31 | 2.949 | 42 |
| 2 1 1 | 30.64 | 2.918 | 83 |
| 1 3 0 | 38.96 | 2.312 | 34 |
| 2 3 0 | 44.62 | 2.031 | 30 |

(2)
Diffraction record for MnSb6Pb4S14. The X-ray powder pattern is calculated, not measured: it uses a structure optimized by DFT (PBE) and Cu Kα, 1.54184 Å.
Kinematic intensities with the Lorentz-polarization factor, no thermal factor.

Crystal structure
Unit cell a=4.063 b=19.489 c=16.130 alpha=90.00 beta=93.48 gamma=90.00
Space group P2_1/c (No. 14)
Unique sites:
Mn: 0.000 0.000 0.000
Sb: 0.301 0.160 0.377
Sb: 0.327 0.056 0.604
Sb: 0.384 0.557 0.314
Pb: 0.071 0.640 0.686
Pb: 0.116 0.746 0.925
S: 0.030 0.102 0.089
S: 0.070 0.508 0.788
S: 0.118 0.606 0.000
S: 0.179 0.700 0.217
S: 0.351 0.229 0.951
S: 0.395 0.165 0.684
S: 0.454 0.047 0.905

Top 10 peaks for 2θ = 5–70°, by angle:
| (hkl) | two_theta | d/Å | I_rel |
| --- | --- | --- | --- |
| 0 1 4 | 22.56 | 3.942 | 38 |
| 1 2 1 | 24.70 | 3.604 | 49 |
| 0 5 2 | 25.39 | 3.508 | 100 |
| 1 3 -2 | 27.67 | 3.224 | 37 |
| 1 2 3 | 29.85 | 2.993 | 33 |
| 1 1 -4 | 30.67 | 2.915 | 51 |
| 1 3 3 | 31.60 | 2.831 | 36 |
| 1 2 -4 | 31.71 | 2.822 | 37 |
| 2 1 0 | 44.95 | 2.017 | 32 |
| 1 6 -6 | 48.47 | 1.878 | 33 |

(3)
Diffraction record for Mn2PbSe. The X-ray powder pattern is calculated, not measured: it uses a structure optimized by DFT (PBE) and Cu Kα, 1.54184 Å.
Kinematic intensities with the Lorentz-polarization factor, no thermal factor.

Crystal structure
Unit cell a=6.117 b=7.462 c=3.659 alpha=90.00 beta=104.19 gamma=90.00
Space group C2/m (No. 12)
Unique sites:
Mn: 0.250 0.250 0.000
Pb: 0.000 0.000 0.500
Se: 0.000 0.500 0.500

Top 10 peaks for 2θ = 5–70°, by angle:
| (hkl) | two_theta | d/Å | I_rel |
| --- | --- | --- | --- |
| 1 1 0 | 19.12 | 4.643 | 41 |
| 0 2 0 | 23.85 | 3.731 | 24 |
| 0 0 1 | 25.10 | 3.547 | 21 |
| 2 0 -1 | 34.34 | 2.612 | 52 |
| 0 2 1 | 34.90 | 2.571 | 100 |
| 2 2 0 | 38.79 | 2.321 | 75 |
| 2 0 1 | 44.36 | 2.042 | 25 |
| 0 0 2 | 51.52 | 1.774 | 20 |
| 2 2 -2 | 59.18 | 1.561 | 24 |
| 2 4 -1 | 61.04 | 1.518 | 19 |

(4)
Diffraction record for MnPbSe2. The X-ray powder pattern is calculated, not measured: it uses a structure optimized by DFT (PBE) and Cu Kα, 1.54184 Å.
Kinematic intensities with the Lorentz-polarization factor, no thermal factor.

Crystal structure
Unit cell a=4.083 b=4.385 c=6.628 alpha=90.00 beta=106.01 gamma=90.00
Space group Pm (No. 6)
Unique sites:
Mn: 0.000 0.000 0.000
Pb: 0.686 0.500 0.543
Se: 0.072 0.500 0.199
Se: 0.389 0.000 0.750

Top 10 peaks for 2θ = 5–70°, by angle:
| (hkl) | two_theta | d/Å | I_rel |
| --- | --- | --- | --- |
| 0 0 1 | 13.90 | 6.371 | 45 |
| 1 0 -1 | 23.11 | 3.849 | 35 |
| 0 1 1 | 24.65 | 3.612 | 100 |
| 1 0 1 | 29.85 | 2.993 | 66 |
| 1 1 0 | 30.57 | 2.924 | 39 |
| 1 0 -2 | 30.90 | 2.893 | 83 |
| 1 1 1 | 36.34 | 2.472 | 34 |
| 1 1 -2 | 37.22 | 2.416 | 68 |
| 0 2 0 | 41.16 | 2.193 | 50 |
| 0 1 3 | 47.58 | 1.911 | 40 |

Copy entry 3 word for word.
Diffraction record for Mn2PbSe. The X-ray powder pattern is calculated, not measured: it uses a structure optimized by DFT (PBE) and Cu Kα, 1.54184 Å.
Kinematic intensities with the Lorentz-polarization factor, no thermal factor.

Crystal structure
Unit cell a=6.117 b=7.462 c=3.659 alpha=90.00 beta=104.19 gamma=90.00
Space group C2/m (No. 12)
Unique sites:
Mn: 0.250 0.250 0.000
Pb: 0.000 0.000 0.500
Se: 0.000 0.500 0.500

Top 10 peaks for 2θ = 5–70°, by angle:
| (hkl) | two_theta | d/Å | I_rel |
| --- | --- | --- | --- |
| 1 1 0 | 19.12 | 4.643 | 41 |
| 0 2 0 | 23.85 | 3.731 | 24 |
| 0 0 1 | 25.10 | 3.547 | 21 |
| 2 0 -1 | 34.34 | 2.612 | 52 |
| 0 2 1 | 34.90 | 2.571 | 100 |
| 2 2 0 | 38.79 | 2.321 | 75 |
| 2 0 1 | 44.36 | 2.042 | 25 |
| 0 0 2 | 51.52 | 1.774 | 20 |
| 2 2 -2 | 59.18 | 1.561 | 24 |
| 2 4 -1 | 61.04 | 1.518 | 19 |

What is the formula in the third record? Mn2PbSe